1.
# Pr3HoTl2
Computed X-ray powder pattern, Cu Kα, 1.54184 Å. Input: a structure optimized by DFT (GGA-PBE).
Neutral-atom scattering factors, no anomalous dispersion.

The 10 most intense peaks (2θ from 5° to 70°), by intensity:
- 2θ 30.32, I = 100
- 2θ 31.48, I = 92
- 2θ 35.31, I = 45
- 2θ 32.53, I = 36
- 2θ 9.66, I = 31
- 2θ 48.77, I = 23
- 2θ 32.67, I = 18
- 2θ 60.31, I = 16
- 2θ 39.38, I = 16
- 2θ 37.36, I = 15

Structure:
a b c (Å): 8.651 8.651 10.435
angles (deg): 117.32 117.32 34.18
Element x y z (fractional)
Pr 0.041 0.041 0.359
Pr 0.289 0.289 0.622
Pr 0.366 0.366 0.325
Pr 0.634 0.634 0.675
Pr 0.711 0.711 0.378
Pr 0.959 0.959 0.641
Ho 0.118 0.118 0.065
Ho 0.882 0.882 0.935
Tl 0.243 0.243 0.900
Tl 0.488 0.488 0.136
Tl 0.512 0.512 0.864
Tl 0.757 0.757 0.100

=====

2.
# Pr5Ho2Tl4
Computed X-ray powder pattern, Cu Kα, 1.54184 Å. Input: a structure optimized by DFT (GGA-PBE).
Neutral-atom scattering factors, no anomalous dispersion.

The 10 most intense peaks (2θ from 5° to 70°), by intensity:
- 2θ 29.77, I = 100
- 2θ 31.57, I = 93
- 2θ 30.35, I = 90
- 2θ 33.25, I = 78
- 2θ 33.80, I = 47
- 2θ 37.21, I = 44
- 2θ 37.66, I = 40
- 2θ 25.44, I = 38
- 2θ 29.35, I = 34
- 2θ 10.80, I = 33

Structure:
a b c (Å): 12.519 12.519 8.199
angles (deg): 92.93 92.93 16.24
Element x y z (fractional)
Pr 0.000 0.000 0.000
Pr 0.267 0.267 0.219
Pr 0.359 0.359 0.878
Pr 0.641 0.641 0.122
Pr 0.733 0.733 0.781
Ho 0.410 0.410 0.283
Ho 0.590 0.590 0.717
Tl 0.163 0.163 0.471
Tl 0.462 0.462 0.647
Tl 0.538 0.538 0.353
Tl 0.837 0.837 0.529